No. 1
This entry pairs a crystal structure of ZnNi10P3 with its theoretical PXRD pattern. Radiation: Cu Kα. Structure: a DFT-relaxed cell (PBE, the Materials Project).
Peak positions follow from Bragg's law for the DFT cell and can differ from measured ones.

Structural model:
abc: 7.6493 7.6493 9.3436
angles: 90.00 90.00 120.00
Element x y z (fractional)
1 Zn 0.0000 0.0000 0.0000
2 Zn 0.3333 0.6667 0.6398
3 Zn 0.6667 0.3333 0.3602
4 Ni 0.0000 0.0000 0.3788
5 Ni 0.0000 0.0000 0.6212
6 Ni 0.0000 0.3405 0.5000
7 Ni 0.0000 0.6595 0.5000
8 Ni 0.0173 0.5086 0.2405
9 Ni 0.1400 0.2800 0.7948
10 Ni 0.1400 0.8600 0.7948
11 Ni 0.1827 0.3653 0.0664
12 Ni 0.1827 0.8173 0.0664
13 Ni 0.2800 0.1400 0.2052
14 Ni 0.3333 0.6667 0.3859
15 Ni 0.3333 0.6667 0.9025
16 Ni 0.3405 0.0000 0.5000
17 Ni 0.3405 0.3405 0.5000
18 Ni 0.3653 0.1827 0.9336
19 Ni 0.4914 0.5086 0.2405
20 Ni 0.4914 0.9827 0.2405
21 Ni 0.5086 0.0173 0.7595
22 Ni 0.5086 0.4914 0.7595
23 Ni 0.6347 0.8173 0.0664
24 Ni 0.6595 0.0000 0.5000
25 Ni 0.6595 0.6595 0.5000
26 Ni 0.6667 0.3333 0.0975
27 Ni 0.6667 0.3333 0.6141
28 Ni 0.7200 0.8600 0.7948
29 Ni 0.8173 0.1827 0.9336
30 Ni 0.8173 0.6347 0.9336
31 Ni 0.8600 0.1400 0.2052
32 Ni 0.8600 0.7200 0.2052
33 Ni 0.9827 0.4914 0.7595
34 P 0.0000 0.5000 0.0000
35 P 0.1652 0.3303 0.3089
36 P 0.1652 0.8348 0.3089
37 P 0.3303 0.1652 0.6911
38 P 0.5000 0.0000 0.0000
39 P 0.5000 0.5000 0.0000
40 P 0.6697 0.8348 0.3089
41 P 0.8348 0.1652 0.6911
42 P 0.8348 0.6697 0.6911

Peak list (12 most intense, 10 to 80 degrees two-theta, in order of rising 2θ)
2θ (°), Rel. int.
37.21, 30
39.72, 19
40.88, 24
42.05, 30
45.47, 54
47.59, 100
48.60, 10
51.65, 8
56.46, 9
69.59, 10
74.43, 8
77.67, 12

No. 2
This entry pairs a crystal structure of Zr4NiP with its theoretical PXRD pattern. Radiation: Cu Kα. Structure: a DFT-relaxed cell (PBE, the Materials Project).
Peak positions follow from Bragg's law for the DFT cell and can differ from measured ones.

Structural model:
abc: 6.4826 6.4826 5.3554
angles: 90.00 90.00 90.00
Element x y z (fractional)
1 Zr 0.1615 0.3384 0.0000
2 Zr 0.1615 0.6616 0.5000
3 Zr 0.3384 0.1615 0.5000
4 Zr 0.3384 0.8385 0.0000
5 Zr 0.6616 0.1615 0.0000
6 Zr 0.6616 0.8385 0.5000
7 Zr 0.8385 0.3384 0.5000
8 Zr 0.8385 0.6616 0.0000
9 Ni 0.0000 0.0000 0.2500
10 Ni 0.0000 0.0000 0.7500
11 P 0.5000 0.5000 0.2500
12 P 0.5000 0.5000 0.7500

Peak list (12 most intense, 10 to 80 degrees two-theta, in order of rising 2θ)
2θ (°), Rel. int.
33.47, 14
35.20, 100
38.95, 19
39.31, 6
43.86, 22
44.18, 27
60.60, 5
60.95, 19
61.46, 15
67.56, 9
70.31, 4
71.03, 16